Computed XRD peak list
Compound: VF5
Radiation: Cu Kα (weighted mean of Kα1 and Kα2)
Structure: a structure optimized by DFT (GGA+U)

Structural model:
a = 5.4475 Å, b = 10.5992 Å, c = 6.2173 Å
α = 90.00°, β = 103.12°, γ = 90.00°
Space group P2_1/c (No. 14)
Inequivalent atoms, fractional coordinates:
V (0.0737, 0.0452, 0.2643)
F (0.1256, 0.0769, 0.5844)
F (0.1275, 0.0766, 0.9662)
F (0.2063, 0.6340, 0.2919)
F (0.2843, 0.1726, 0.3069)
F (0.3007, 0.5759, 0.8092)

Main lines, most intense first (5° ≤ 2θ ≤ 70°):
16.7°, d 5.303, I = 100.0
23.7°, d 3.749, I = 26.4
22.3°, d 3.988, I = 13.7
29.5°, d 3.028, I = 12.8
42.6°, d 2.122, I = 12.6
21.3°, d 4.168, I = 8.3
30.5°, d 2.932, I = 8.2
48.5°, d 1.877, I = 7.3
47.6°, d 1.910, I = 6.6
55.5°, d 1.656, I = 6.2